SrMg4V3O12: simulated powder diffraction line list (a wavelength of 1.5418 Å), based on DFT lattice parameters and positions (PBE+U).

Atomic structure:
abc: 7.6055 7.6055 7.6055
angles: 90.00 90.00 90.00
Space group Im-3 (No. 204)
Asymmetric unit:
Sr (0.0000, 0.0000, 0.0000) [2 per cell]
Mg (0.2500, 0.2500, 0.2500) [8 per cell]
V (0.0000, 0.0000, 0.5000) [6 per cell]
O (0.0000, 0.3244, 0.1680) [24 per cell]

Peak list (10 most intense, 10° ≤ 2θ ≤ 90°, most intense first)
d = 2.689 Å, 33.3°, intensity 1000, hkl 2 2 0
d = 1.552 Å, 59.5°, intensity 605, hkl 4 2 2
d = 1.901 Å, 47.8°, intensity 263, hkl 4 0 0
d = 3.803 Å, 23.4°, intensity 252, hkl 2 0 0
d = 2.405 Å, 37.4°, intensity 243, hkl 3 0 1
d = 1.203 Å, 79.7°, intensity 189, hkl 6 2 0
d = 2.196 Å, 41.1°, intensity 165, hkl 2 2 2
d = 2.033 Å, 44.6°, intensity 155, hkl 3 1 2
d = 1.344 Å, 70.0°, intensity 118, hkl 4 4 0
d = 1.268 Å, 74.9°, intensity 93, hkl 6 0 0

Na3Mn2P2C2O14: simulated powder diffraction line list (a wavelength of 1.5418 Å), based on DFT lattice parameters and positions (PBE+U).

Atomic structure:
abc: 8.3035 8.4464 9.1160
angles: 90.41 92.10 103.21
Space group P-1 (No. 2)
Asymmetric unit:
Na (0.0953, 0.1476, 0.2581) [2 per cell]
Na (0.3814, 0.3851, 0.7288) [2 per cell]
Na (0.3898, 0.8765, 0.2640) [2 per cell]
Mn (0.0215, 0.7652, 0.1411) [2 per cell]
Mn (0.4753, 0.7305, 0.8437) [2 per cell]
P (0.2361, 0.4915, 0.0701) [2 per cell]
P (0.2691, 0.0299, 0.9278) [2 per cell]
C (0.0087, 0.2599, 0.5935) [2 per cell]
C (0.4813, 0.2392, 0.4198) [2 per cell]
O (0.0321, 0.2692, 0.4610) [2 per cell]
O (0.0884, 0.3392, 0.0394) [2 per cell]
O (0.0999, 0.3568, 0.6952) [2 per cell]
O (0.1081, 0.8495, 0.3440) [2 per cell]
O (0.1249, 0.0802, 0.8382) [2 per cell]
O (0.1801, 0.6296, 0.1558) [2 per cell]
O (0.2015, 0.9495, 0.0734) [2 per cell]
O (0.3047, 0.5532, 0.9207) [2 per cell]
O (0.3408, 0.9178, 0.8303) [2 per cell]
O (0.3644, 0.4426, 0.1745) [2 per cell]
O (0.3844, 0.1476, 0.3178) [2 per cell]
O (0.3996, 0.6536, 0.6389) [2 per cell]
O (0.4068, 0.1863, 0.9671) [2 per cell]
O (0.4616, 0.2234, 0.5545) [2 per cell]

Peak list (10 most intense, 10° ≤ 2θ ≤ 90°, most intense first)
d = 3.281 Å, 27.2°, intensity 1000, hkl 2 -2 0
d = 3.487 Å, 25.5°, intensity 823, hkl 1 1 -2
d = 5.276 Å, 16.8°, intensity 580, hkl 1 -1 1
d = 2.599 Å, 34.5°, intensity 549, hkl 2 2 0
d = 5.373 Å, 16.5°, intensity 515, hkl -1 1 1
d = 1.640 Å, 56.1°, intensity 443, hkl 4 -4 0
d = 2.662 Å, 33.7°, intensity 442, hkl 1 1 -3
d = 4.447 Å, 20.0°, intensity 431, hkl 1 1 1
d = 2.674 Å, 33.5°, intensity 406, hkl 1 -3 1
d = 3.639 Å, 24.5°, intensity 396, hkl 2 0 1